This entry pairs a crystal structure of Cr2NiBi2S6 with its computed powder X-ray diffraction pattern. Radiation: Cu Kα X-rays. Structure: the GGA-PBE geometry in Alexandria.
Lines closer than 0.1° are merged.

Crystal structure
```
data_Cr2NiBi2S6
_symmetry_space_group_name_H-M 'C 1 2/m 1'
_symmetry_Int_Tables_number 12
_cell_length_a 5.954
_cell_length_b 9.937
_cell_length_c 8.303
_cell_angle_alpha 90.00
_cell_angle_beta 102.57
_cell_angle_gamma 90.00
loop_
_symmetry_equiv_pos_as_xyz
'x,y,z'
'-x,-y,-z'
'-x,y,-z'
'x,-y,z'
'x+1/2,y+1/2,z'
'-x+1/2,-y+1/2,-z'
'-x+1/2,y+1/2,-z'
'x+1/2,-y+1/2,z'
loop_
_atom_site_label
_atom_site_fract_x
_atom_site_fract_y
_atom_site_fract_z
Cr1 0.000 0.148 0.000
Ni1 0.000 0.500 0.000
Bi1 0.000 0.333 0.500
S1 0.114 0.333 0.848
S2 0.130 0.000 0.828
```

Top 12 peaks for 10 to 90 degrees two-theta, low angle first:
- hkl 1 1 0, 2θ = 17.68°, I 47
- hkl 1 1 -1, 2θ = 18.98°, I 33
- hkl 0 2 1, 2θ = 20.97°, I 40
- hkl 0 0 2, 2θ = 21.94°, I 84
- hkl 2 0 0, 2θ = 30.79°, I 66
- hkl 1 3 0, 2θ = 31.08°, I 43
- hkl 1 3 -1, 2θ = 31.86°, I 100
- hkl 1 3 1, 2θ = 34.17°, I 33
- hkl 2 0 2, 2θ = 42.02°, I 35
- hkl 1 3 -3, 2θ = 43.40°, I 61
- hkl 1 3 3, 2θ = 48.65°, I 39
- hkl 3 3 -1, 2θ = 53.86°, I 34